Calculated X-ray powder pattern
Compound: Li2RhO3
Radiation: copper Kα
Structure: a DFT-relaxed cell (GGA-PBE, the Materials Project)
Neutral-atom scattering factors, no anomalous dispersion.

Crystal structure
```
Li2RhO3
1.0
2.574 -4.465 0.000
2.574 4.465 0.000
-1.698 0.000 4.868
Li Rh O
4 2 6
Direct
0.000 0.000 0.000 Li
0.162 0.838 0.500 Li
0.500 0.500 0.500 Li
0.838 0.162 0.500 Li
0.333 0.667 0.000 Rh
0.667 0.333 0.000 Rh
0.076 0.425 0.234 O
0.269 0.269 0.764 O
0.425 0.076 0.234 O
0.575 0.924 0.766 O
0.731 0.731 0.236 O
0.924 0.575 0.766 O
```

The 10 most intense peaks (2θ from 10° to 90°), by angle:
two_theta  d/Å  I/Imax
18.22  4.868  100.0
19.88  4.465  20.3
20.81  4.269  36.1
23.40  3.801  26.7
27.10  3.291  17.5
35.38  2.537  48.9
37.00  2.429  19.8
42.92  2.107  50.5
43.07  2.100  25.0
62.42  1.488  36.8